Record 1
Diffraction record for Li2Mn2Si2O7. The PXRD pattern is calculated, not measured: it uses a GGA+U-relaxed structure and Cu Ka.
Kinematic intensities with the Lorentz-polarization factor, no thermal factor.

Principal peaks in the range 15° ≤ 2θ ≤ 90°, low angle first:
Position (°2θ)  d_spacing  I (rel.)  hkl
20.19  4.399  56  1 1 0
20.78  4.275  42  0 0 2
24.70  3.605  62  0 2 2
27.16  3.284  100  1 1 1
29.55  3.023  32  1 2 1
32.92  2.721  60  1 4 -2
33.18  2.700  52  1 3 1
33.97  2.639  37  0 4 2
34.67  2.587  57  2 1 -3
38.18  2.357  36  2 3 -2

```
data_Li2Mn2Si2O7
_chemical_formula_sum 'Li8 Mn8 Si8 O28'
_symmetry_space_group_name_H-M 'P 1 21/c 1'
_symmetry_Int_Tables_number 14
_cell_length_a 5.546
_cell_length_b 13.420
_cell_length_c 10.180
_cell_angle_alpha 90.00
_cell_angle_beta 122.89
_cell_angle_gamma 90.00
loop_
_symmetry_equiv_pos_as_xyz
'x,y,z'
'-x,-y,-z'
'-x,y+1/2,-z+1/2'
'x,-y+1/2,z+1/2'
loop_
_atom_site_label
_atom_site_type_symbol
_atom_site_fract_x
_atom_site_fract_y
_atom_site_fract_z
_atom_site_occupancy
Li1 Li 0.034 0.243 0.332 1
Li2 Li 0.272 0.143 0.617 1
Mn1 Mn 0.160 0.509 0.802 1
Mn2 Mn 0.457 0.086 0.113 1
Si1 Si 0.220 0.618 0.542 1
Si2 Si 0.357 0.673 0.041 1
O1 O 0.072 0.643 0.869 1
O2 O 0.079 0.168 0.002 1
O3 O 0.197 0.535 0.414 1
O4 O 0.290 0.658 0.177 1
O5 O 0.350 0.120 0.432 1
O6 O 0.404 0.562 0.713 1
O7 O 0.432 0.705 0.539 1
```



Record 2
Diffraction record for Li7Mn3Si2O12. The PXRD pattern is calculated, not measured: it uses a GGA+U-relaxed structure and Cu Ka.
Kinematic intensities with the Lorentz-polarization factor, no thermal factor.

Principal peaks in the range 15° ≤ 2θ ≤ 90°, low angle first:
Position (°2θ)  d_spacing  I (rel.)  hkl
18.26  4.859  100  0 0 2
35.56  2.525  15  2 0 0
37.19  2.418  17  1 3 -1
42.20  2.141  35  2 0 2
44.99  2.015  59  1 3 -3
58.87  1.569  10  1 3 -5
62.55  1.485  17  1 3 5
64.22  1.450  16  3 3 -1
66.35  1.409  11  0 6 0
81.84  1.177  11  2 6 2

```
data_Li7Mn3Si2O12
_chemical_formula_sum 'Li14 Mn6 Si4 O24'
_symmetry_space_group_name_H-M 'C 1 2/m 1'
_symmetry_Int_Tables_number 12
_cell_length_a 5.083
_cell_length_b 8.453
_cell_length_c 9.784
_cell_angle_alpha 90.00
_cell_angle_beta 96.64
_cell_angle_gamma 90.00
loop_
_symmetry_equiv_pos_as_xyz
'x,y,z'
'-x,-y,-z'
'-x,y,-z'
'x,-y,z'
'x+1/2,y+1/2,z'
'-x+1/2,-y+1/2,-z'
'-x+1/2,y+1/2,-z'
'x+1/2,-y+1/2,z'
loop_
_atom_site_label
_atom_site_type_symbol
_atom_site_fract_x
_atom_site_fract_y
_atom_site_fract_z
_atom_site_occupancy
Li1 Li 0.000 0.000 0.000 1
Li2 Li 0.247 0.163 0.246 1
Li3 Li 0.249 0.500 0.240 1
Mn1 Mn 0.000 0.167 0.500 1
Mn2 Mn 0.000 0.500 0.500 1
Si1 Si 0.000 0.332 0.000 1
O1 O 0.094 0.500 0.896 1
O2 O 0.097 0.000 0.377 1
O3 O 0.099 0.333 0.379 1
O4 O 0.162 0.186 0.899 1
```